(1)
Calculated powder XRD pattern
Compound: Rb5Zr2S6
Radiation: Cu Kα, 1.54184 Å
Structure: DFT lattice parameters and positions (GGA-PBE)
Kinematic intensities with the Lorentz-polarization factor, no thermal factor.

Structure:
Lattice parameters (Å, degrees): 13.448 8.495 17.566 90.00 101.84 90.00
Space group C2/c (No. 15)
Symmetry-distinct sites (fractional):
Rb (0.000, 0.143, 0.250)
Rb (0.051, 0.238, 0.999)
Rb (0.157, 0.392, 0.724)
Zr (0.227, 0.373, 0.427)
S (0.058, 0.466, 0.373)
S (0.146, 0.035, 0.641)
S (0.222, 0.077, 0.429)

Top 8 peaks for 2θ = 5–70°, by intensity:
Position (°2θ)	d/Å	intensity
24.32	3.660	100
25.18	3.537	95
26.11	3.413	85
12.89	6.868	53
27.00	3.303	43
40.29	2.238	34
30.70	2.913	31
23.33	3.812	29

---

(2)
Calculated powder XRD pattern
Compound: Sm3AgPd5
Radiation: Cu Kα, 1.54184 Å
Structure: DFT lattice parameters and positions (GGA-PBE)
Kinematic intensities with the Lorentz-polarization factor, no thermal factor.

Structure:
Lattice parameters (Å, degrees): 15.424 8.368 5.786 90.00 90.00 90.00
Space group Cmcm (No. 63)
Symmetry-distinct sites (fractional):
Sm (0.000, 0.138, 0.250)
Sm (0.177, 0.328, 0.750)
Ag (0.000, 0.500, 0.000)
Pd (0.000, 0.201, 0.750)
Pd (0.154, 0.323, 0.250)
Pd (0.166, 0.000, 0.000)

Top 8 peaks for 2θ = 5–70°, by intensity:
Position (°2θ)	d/Å	intensity
36.65	2.452	100
37.25	2.414	84
34.90	2.571	59
37.81	2.380	46
52.39	1.746	33
67.13	1.394	23
63.73	1.460	16
64.13	1.452	15

---

(3)
Calculated powder XRD pattern
Compound: Rb3SnBi2
Radiation: Cu Kα, 1.54184 Å
Structure: DFT lattice parameters and positions (GGA-PBE)
Kinematic intensities with the Lorentz-polarization factor, no thermal factor.

Structure:
Lattice parameters (Å, degrees): 14.364 5.493 14.929 90.00 90.00 90.00
Space group Pnma (No. 62)
Symmetry-distinct sites (fractional):
Rb (0.069, 0.250, 0.111)
Rb (0.125, 0.750, 0.563)
Rb (0.174, 0.250, 0.809)
Sn (0.141, 0.250, 0.366)
Bi (0.063, 0.750, 0.314)
Bi (0.201, 0.750, 0.983)

Top 8 peaks for 2θ = 5–70°, by intensity:
Position (°2θ)	d/Å	intensity
32.10	2.788	100
24.13	3.688	96
32.60	2.746	88
25.39	3.508	80
24.93	3.572	67
17.14	5.173	65
48.92	1.862	61
13.37	6.623	61

---

(4)
Calculated powder XRD pattern
Compound: U4Ge6Mo7
Radiation: Cu Kα, 1.54184 Å
Structure: DFT lattice parameters and positions (GGA-PBE)
Kinematic intensities with the Lorentz-polarization factor, no thermal factor.

Structure:
Lattice parameters (Å, degrees): 8.470 8.470 8.470 90.00 90.00 90.00
Space group Im-3m (No. 229)
Symmetry-distinct sites (fractional):
U (0.250, 0.250, 0.250)
Ge (0.000, 0.000, 0.305)
Mo (0.000, 0.000, 0.000)
Mo (0.000, 0.250, 0.500)

Top 8 peaks for 2θ = 5–70°, by intensity:
Position (°2θ)	d/Å	intensity
36.76	2.445	100
42.70	2.117	60
29.84	2.994	45
61.98	1.497	35
20.98	4.235	17
48.04	1.894	15
52.96	1.729	13
39.82	2.264	10

---

(5)
Calculated powder XRD pattern
Compound: PmCl2
Radiation: Cu Kα, 1.54184 Å
Structure: DFT lattice parameters and positions (GGA-PBE)
Kinematic intensities with the Lorentz-polarization factor, no thermal factor.

Structure:
Lattice parameters (Å, degrees): 7.107 7.107 3.551 90.00 90.00 90.00
Space group P4_2/mnm (No. 136)
Symmetry-distinct sites (fractional):
Pm (0.000, 0.000, 0.000)
Cl (0.220, 0.220, 0.500)

Top 8 peaks for 2θ = 5–70°, by intensity:
Position (°2θ)	d/Å	intensity
17.65	5.026	100
37.99	2.368	66
28.09	3.177	53
35.73	2.513	33
46.05	1.971	26
40.12	2.248	22
51.44	1.776	16
54.82	1.675	16

---

(6)
Calculated powder XRD pattern
Compound: LiPuH2F6
Radiation: Cu Kα, 1.54184 Å
Structure: DFT lattice parameters and positions (GGA-PBE)
Kinematic intensities with the Lorentz-polarization factor, no thermal factor.

Structure:
Lattice parameters (Å, degrees): 4.103 6.342 9.772 90.00 109.36 90.00
Space group P2_1/c (No. 14)
Symmetry-distinct sites (fractional):
Li (0.000, 0.000, 0.000)
Pu (0.500, 0.000, 0.500)
H (0.431, 0.080, 0.816)
F (0.007, 0.695, 0.952)
F (0.313, 0.144, 0.896)
F (0.404, 0.508, 0.749)

Top 8 peaks for 2θ = 5–70°, by intensity:
Position (°2θ)	d/Å	intensity
16.97	5.225	100
19.25	4.610	45
25.95	3.434	39
22.98	3.871	30
32.37	2.766	28
36.64	2.453	27
31.24	2.863	21
28.14	3.171	18

---

(7)
Calculated powder XRD pattern
Compound: LiCuO2
Radiation: Cu Kα, 1.54184 Å
Structure: DFT lattice parameters and positions (GGA-PBE)
Kinematic intensities with the Lorentz-polarization factor, no thermal factor.

Structure:
Lattice parameters (Å, degrees): 5.142 5.318 2.756 90.00 90.00 90.00
Space group Pnnm (No. 58)
Symmetry-distinct sites (fractional):
Li (0.000, 0.000, 0.000)
Cu (0.000, 0.500, 0.500)
O (0.197, 0.356, 0.000)

Top 8 peaks for 2θ = 5–70°, by intensity:
Position (°2θ)	d/Å	intensity
24.08	3.696	100
51.56	1.772	37
50.92	1.793	21
36.73	2.447	19
33.71	2.659	18
37.01	2.429	18
49.31	1.848	17
62.27	1.491	12

---

(8)
Calculated powder XRD pattern
Compound: Pa2SbO7
Radiation: Cu Kα, 1.54184 Å
Structure: DFT lattice parameters and positions (GGA-PBE)
Kinematic intensities with the Lorentz-polarization factor, no thermal factor.

Structure:
Lattice parameters (Å, degrees): 3.8498 3.8498 31.2395 90.00 90.00 120.00
Space group R-3m (No. 166, hexagonal axes)
Symmetry-distinct sites (fractional):
Pa (0.0000, 0.0000, 0.0673)
Sb (0.0000, 0.0000, 0.5000)
O (0.0000, 0.0000, 0.0000)
O (0.0000, 0.0000, 0.1448)
O (0.0000, 0.0000, 0.2791)
O (0.0000, 0.0000, 0.4282)

Top 8 peaks for 2θ = 5–70°, by intensity:
Position (°2θ)	d/Å	intensity
27.35	3.261	100
33.55	2.671	68
54.49	1.684	63
47.22	1.925	60
30.39	2.941	53
25.66	3.471	52
26.89	3.315	50
49.13	1.854	48